Entry 1:
Tm3Ni8Pb: calculated powder diffractogram (Cu Kα X-rays), based on a DFT-relaxed cell (GGA-PBE, Alexandria).

Main lines, low angle first (10 to 90 degrees two-theta):
d_spacing  I/Imax
4.104  18
2.513  68
2.143  100
2.052  14
1.451  19
1.450  6
1.368  18
1.367  12
1.257  22
1.124  11

Crystal structure
```
data_Tm3Ni8Pb
_cell_length_a 8.714
_cell_length_b 8.714
_cell_length_c 8.714
_cell_angle_alpha 33.51
_cell_angle_beta 33.51
_cell_angle_gamma 33.51
_symmetry_space_group_name_H-M 'P 1'
_symmetry_Int_Tables_number 1
_symmetry_space_group_name_Hall 'P 1'
loop_
_atom_site_label
_atom_site_fract_x
_atom_site_fract_y
_atom_site_fract_z
Tm1 0.000 0.000 0.000
Tm2 0.127 0.127 0.127
Tm3 0.506 0.506 0.506
Ni1 0.065 0.065 0.562
Ni2 0.065 0.562 0.065
Ni3 0.069 0.565 0.565
Ni4 0.315 0.315 0.315
Ni5 0.562 0.065 0.065
Ni6 0.565 0.069 0.565
Ni7 0.565 0.565 0.069
Ni8 0.815 0.815 0.815
Pb1 0.631 0.631 0.631
```

***

Entry 2:
NiPbW: calculated powder diffractogram (Cu Kα X-rays), based on a DFT-relaxed cell (GGA-PBE, Alexandria).

Main lines, low angle first (10 to 90 degrees two-theta):
d_spacing  I/Imax
3.504  6
3.034  65
2.146  100
1.830  3
1.752  19
1.517  17
1.392  1
1.357  25
1.239  34
1.168  1

Crystal structure
```
data_NiPbW
_cell_length_a 4.291
_cell_length_b 4.291
_cell_length_c 4.291
_cell_angle_alpha 60.00
_cell_angle_beta 60.00
_cell_angle_gamma 60.00
_symmetry_space_group_name_H-M 'P 1'
_symmetry_Int_Tables_number 1
_symmetry_space_group_name_Hall 'P 1'
loop_
_atom_site_label
_atom_site_fract_x
_atom_site_fract_y
_atom_site_fract_z
Ni1 0.000 0.000 0.000
Pb1 0.250 0.250 0.250
W1 0.750 0.750 0.750
```

***

Entry 3:
YNi5Pb: calculated powder diffractogram (Cu Kα X-rays), based on a DFT-relaxed cell (GGA-PBE, Alexandria).

Main lines, low angle first (10 to 90 degrees two-theta):
d_spacing  I/Imax
2.832  32
2.676  40
2.456  42
2.327  46
2.320  73
2.164  40
2.063  58
2.002  100
1.946  57
1.396  35

Crystal structure
```
data_YNi5Pb
_cell_length_a 8.160
_cell_length_b 4.913
_cell_length_c 10.398
_cell_angle_alpha 90.00
_cell_angle_beta 90.00
_cell_angle_gamma 90.00
_symmetry_space_group_name_H-M 'P 1'
_symmetry_Int_Tables_number 1
_symmetry_space_group_name_Hall 'P 1'
loop_
_atom_site_label
_atom_site_fract_x
_atom_site_fract_y
_atom_site_fract_z
Y1 0.246 0.250 0.063
Y2 0.254 0.750 0.563
Y3 0.746 0.250 0.437
Y4 0.754 0.750 0.937
Ni1 0.051 0.250 0.608
Ni2 0.068 0.002 0.813
Ni3 0.068 0.498 0.813
Ni4 0.079 0.750 0.017
Ni5 0.187 0.750 0.239
Ni6 0.313 0.250 0.739
Ni7 0.421 0.250 0.517
Ni8 0.432 0.502 0.313
Ni9 0.432 0.998 0.313
Ni10 0.449 0.750 0.108
Ni11 0.551 0.250 0.892
Ni12 0.568 0.002 0.687
Ni13 0.568 0.498 0.687
Ni14 0.579 0.750 0.483
Ni15 0.687 0.750 0.261
Ni16 0.813 0.250 0.761
Ni17 0.921 0.250 0.983
Ni18 0.932 0.502 0.187
Ni19 0.932 0.998 0.187
Ni20 0.949 0.750 0.392
Pb1 0.137 0.250 0.364
Pb2 0.363 0.750 0.864
Pb3 0.637 0.250 0.136
Pb4 0.863 0.750 0.636
```